Starting from a DFT-relaxed cell (PBE+U, Alexandria), the X-ray diffraction stick pattern of Li2FeF4 was computed for Cu Ka.
Intensities are scaled so that the largest is 100.

Unit cell a=5.9253 b=5.3175 c=5.4003 alpha=90.00 beta=113.94 gamma=90.00
Space group P2_1/c (No. 14)
Symmetry-distinct sites (fractional):
Li  0.1550  0.0369  0.3764
Fe  0.5000  0.0000  0.0000
F  0.1527  0.1370  0.7293
F  0.3747  0.6580  0.7676

Largest 10 diffraction maxima, low angle first, 5° ≤ 2θ ≤ 70°:
2θ (°)	d [Å]	Rel. int.
16.37	5.416	100
24.61	3.618	46
25.21	3.532	83
33.65	2.663	48
37.26	2.413	28
38.09	2.363	22
38.46	2.341	32
47.55	1.912	33
55.03	1.669	29
61.12	1.516	24